Record 1
Structure and simulated X-ray powder pattern of NdMg2CdAg4 (a structure optimized by DFT (GGA-PBE); Cu Ka).
Kinematic intensities with the Lorentz-polarization factor, no thermal factor.

Atomic structure:
abc: 4.7581 4.7581 26.2797
angles: 90.00 90.00 120.00
Space group R-3m (No. 166, hexagonal axes)
Symmetry-distinct sites (fractional):
Nd: 0.0000 0.0000 0.0000
Mg: 0.0000 0.0000 0.2432
Cd: 0.0000 0.0000 0.5000
Ag: 0.0000 0.0000 0.1254
Ag: 0.0000 0.0000 0.3929

The 6 most intense peaks (10° ≤ 2θ ≤ 90°), by angle:
- 2θ = 22.61°, intensity 43.1, hkl 0 1 2
- 2θ = 34.93°, intensity 97.5, hkl 0 1 8
- 2θ = 37.82°, intensity 100.0, hkl 1 1 0
- 2θ = 40.72°, intensity 23.5, hkl 1 0 10
- 2θ = 52.42°, intensity 29.4, hkl 2 0 8
- 2θ = 66.43°, intensity 28.0, hkl 1 2 8

***

Record 2
Structure and simulated X-ray powder pattern of NaCd (a structure optimized by DFT (GGA-PBE); Cu Ka).
Kinematic intensities with the Lorentz-polarization factor, no thermal factor.

Atomic structure:
abc: 8.8782 5.1753 9.4072
angles: 90.00 90.00 90.00
Space group Pnma (No. 62)
Symmetry-distinct sites (fractional):
Na: 0.1032 0.2500 0.2249
Na: 0.1985 0.7500 0.0242
Cd: 0.0636 0.7500 0.4438
Cd: 0.1296 0.2500 0.8238

The 6 most intense peaks (10° ≤ 2θ ≤ 90°), by angle:
- 2θ = 13.71°, intensity 39.9, hkl 1 0 1
- 2θ = 19.58°, intensity 94.3, hkl 0 1 1
- 2θ = 32.69°, intensity 100.0, hkl 2 1 2
- 2θ = 34.67°, intensity 58.6, hkl 0 2 0
- 2θ = 36.25°, intensity 60.6, hkl 3 1 1
- 2θ = 43.48°, intensity 42.6, hkl 1 1 4